Computed powder X-ray diffraction pattern of Sm3SOF5 for a wavelength of 1.5418 Å, from a cell relaxed with PBE.

Top 10 peaks for 5 to 70 degrees two-theta, by angle:
two_theta  I (rel.)
18.33  30
25.86  48
28.14  100
28.39  45
29.98  56
30.07  30
31.86  43
45.99  34
50.06  29
56.68  30

Cell: 9.609 3.782 9.663 Å, 90.00 119.52 90.00°
Element x y z (fractional)
Sm1 0.000 0.000 0.000
Sm2 0.105 0.500 0.688
Sm3 0.283 0.000 0.451
Sm4 0.404 0.500 0.181
Sm5 0.578 0.500 0.871
Sm6 0.832 0.000 0.312
S1 0.028 0.500 0.246
S2 0.371 0.000 0.917
O1 0.084 0.000 0.532
O2 0.264 0.000 0.197
F1 0.132 0.500 0.959
F2 0.323 0.500 0.632
F3 0.427 0.500 0.435
F4 0.542 0.000 0.706
F5 0.587 0.000 0.310
F6 0.655 0.500 0.151
F7 0.748 0.000 0.019
F8 0.823 0.500 0.871
F9 0.846 0.500 0.465
F10 0.977 0.000 0.747